# 1
The following is a computed powder XRD pattern of Ni3Rh8. It was derived from DFT lattice parameters and positions (GGA-PBE), using Cu Ka.
Kinematic intensities with the Lorentz-polarization factor, no thermal factor.

Largest 12 diffraction maxima, by angle, 10 to 80 degrees two-theta:
- 2θ 21.96, I 2
- 2θ 26.32, I 2
- 2θ 30.57, I 3
- 2θ 34.27, I 2
- 2θ 41.37, I 100
- 2θ 41.52, I 98
- 2θ 48.04, I 64
- 2θ 48.59, I 31
- 2θ 70.30, I 20
- 2θ 70.50, I 10
- 2θ 70.76, I 19
- 2θ 70.91, I 9

Atomic structure:
a = 4.6139 Å, b = 4.6139 Å, c = 9.6494 Å
α = 104.43°, β = 104.43°, γ = 48.43°
Fractional coordinates of all 11 atoms:
Ni (0.0000, 0.0000, 0.0000)
Ni (0.4518, 0.4518, 0.1785)
Ni (0.5482, 0.5482, 0.8215)
Rh (0.0940, 0.0940, 0.6414)
Rh (0.1765, 0.1765, 0.2671)
Rh (0.2765, 0.2765, 0.9132)
Rh (0.3654, 0.3654, 0.5468)
Rh (0.6346, 0.6346, 0.4532)
Rh (0.7235, 0.7235, 0.0868)
Rh (0.8235, 0.8235, 0.7329)
Rh (0.9060, 0.9060, 0.3586)


# 2
The following is a computed powder XRD pattern of Ni2Rh3. It was derived from DFT lattice parameters and positions (GGA-PBE), using Cu Ka.
Kinematic intensities with the Lorentz-polarization factor, no thermal factor.

Largest 12 diffraction maxima, by angle, 10 to 80 degrees two-theta:
- 2θ 21.48, I 5
- 2θ 28.26, I 7
- 2θ 30.50, I 4
- 2θ 41.83, I 100
- 2θ 42.01, I 99
- 2θ 48.11, I 33
- 2θ 48.89, I 31
- 2θ 49.38, I 30
- 2θ 71.02, I 20
- 2θ 71.15, I 10
- 2θ 71.67, I 10
- 2θ 72.03, I 19

Atomic structure:
a = 4.5373 Å, b = 4.5373 Å, c = 5.8626 Å
α = 129.28°, β = 129.28°, γ = 48.48°
Fractional coordinates of all 5 atoms:
Ni (0.1016, 0.1016, 0.2999)
Ni (0.8984, 0.8984, 0.7001)
Rh (0.3009, 0.3009, 0.8960)
Rh (0.5000, 0.5000, 0.5000)
Rh (0.6991, 0.6991, 0.1040)


# 3
The following is a computed powder XRD pattern of Ni2Ru2Rh7. It was derived from DFT lattice parameters and positions (GGA-PBE), using Cu Ka.
Kinematic intensities with the Lorentz-polarization factor, no thermal factor.

Largest 12 diffraction maxima, by angle, 10 to 80 degrees two-theta:
- 2θ 18.44, I 2
- 2θ 20.33, I 1
- 2θ 27.63, I 1
- 2θ 30.04, I 1
- 2θ 41.06, I 50
- 2θ 41.21, I 100
- 2θ 41.35, I 49
- 2θ 47.86, I 32
- 2θ 47.99, I 64
- 2θ 69.91, I 20
- 2θ 70.22, I 20
- 2θ 70.32, I 20

Atomic structure:
a = 4.6421 Å, b = 5.9864 Å, c = 6.0162 Å
α = 107.21°, β = 97.49°, γ = 105.09°
Fractional coordinates of all 11 atoms:
Ni (0.0891, 0.3657, 0.3230)
Ni (0.9109, 0.6343, 0.6770)
Ru (0.3698, 0.4604, 0.7777)
Ru (0.6302, 0.5396, 0.2223)
Rh (0.0000, 0.0000, 0.5000)
Rh (0.1800, 0.7213, 0.1404)
Rh (0.2704, 0.0937, 0.9590)
Rh (0.4528, 0.8089, 0.5900)
Rh (0.5472, 0.1911, 0.4100)
Rh (0.7296, 0.9063, 0.0410)
Rh (0.8200, 0.2787, 0.8596)


# 4
The following is a computed powder XRD pattern of NiRuRh. It was derived from DFT lattice parameters and positions (GGA-PBE), using Cu Ka.
Kinematic intensities with the Lorentz-polarization factor, no thermal factor.

Largest 12 diffraction maxima, by angle, 10 to 80 degrees two-theta:
- 2θ 30.70, I 8
- 2θ 39.07, I 21
- 2θ 39.45, I 14
- 2θ 42.15, I 38
- 2θ 44.63, I 100
- 2θ 44.97, I 43
- 2θ 58.82, I 12
- 2θ 59.10, I 9
- 2θ 70.54, I 8
- 2θ 71.30, I 15
- 2θ 78.78, I 18
- 2θ 79.03, I 8

Atomic structure:
a = 4.2880 Å, b = 4.6109 Å, c = 4.6109 Å
α = 120.61°, β = 90.00°, γ = 90.00°
Fractional coordinates of all 6 atoms:
Ni (0.0000, 0.0000, 0.0000)
Ni (0.5000, 0.3295, 0.3295)
Ru (0.5000, 0.0007, 0.6776)
Ru (0.5000, 0.6776, 0.0007)
Rh (0.0000, 0.3265, 0.6528)
Rh (0.0000, 0.6528, 0.3265)


# 5
The following is a computed powder XRD pattern of NiRuRh. It was derived from DFT lattice parameters and positions (GGA-PBE), using Cu Ka.
Kinematic intensities with the Lorentz-polarization factor, no thermal factor.

Largest 12 diffraction maxima, by angle, 10 to 80 degrees two-theta:
- 2θ 22.55, I 5
- 2θ 26.70, I 7
- 2θ 35.05, I 2
- 2θ 35.16, I 2
- 2θ 41.44, I 100
- 2θ 42.23, I 95
- 2θ 48.18, I 32
- 2θ 48.43, I 32
- 2θ 49.47, I 30
- 2θ 69.60, I 10
- 2θ 71.54, I 19
- 2θ 71.77, I 28

Atomic structure:
a = 4.5516 Å, b = 4.5516 Å, c = 5.4036 Å
α = 107.01°, β = 107.01°, γ = 47.75°
Fractional coordinates of all 6 atoms:
Ni (0.0014, 0.0014, 0.2552)
Ni (0.9986, 0.9986, 0.7448)
Ru (0.3349, 0.3349, 0.4201)
Ru (0.6651, 0.6651, 0.5799)
Rh (0.3330, 0.3330, 0.9144)
Rh (0.6670, 0.6670, 0.0856)


# 6
The following is a computed powder XRD pattern of Ni2RuRh. It was derived from DFT lattice parameters and positions (GGA-PBE), using Cu Ka.
Kinematic intensities with the Lorentz-polarization factor, no thermal factor.

Largest 10 diffraction maxima, by angle, 10 to 80 degrees two-theta:
- 2θ 27.19, I 9
- 2θ 42.50, I 100
- 2θ 43.75, I 3
- 2θ 48.27, I 17
- 2θ 50.08, I 30
- 2θ 57.91, I 2
- 2θ 67.18, I 1
- 2θ 68.65, I 1
- 2θ 72.10, I 19
- 2θ 73.53, I 9

Atomic structure:
a = 4.5664 Å, b = 4.5664 Å, c = 4.5664 Å
α = 132.98°, β = 132.98°, γ = 68.68°
Fractional coordinates of all 4 atoms:
Ni (0.0000, 0.0000, 0.0000)
Ni (0.7500, 0.2500, 0.5000)
Ru (0.2500, 0.7500, 0.5000)
Rh (0.5000, 0.5000, 0.0000)


# 7
The following is a computed powder XRD pattern of Ni7RuRh4. It was derived from DFT lattice parameters and positions (GGA-PBE), using Cu Ka.
Kinematic intensities with the Lorentz-polarization factor, no thermal factor.

Largest 12 diffraction maxima, by angle, 10 to 80 degrees two-theta:
- 2θ 27.43, I 17
- 2θ 28.46, I 18
- 2θ 36.61, I 18
- 2θ 40.52, I 22
- 2θ 40.97, I 100
- 2θ 41.23, I 63
- 2θ 41.49, I 44
- 2θ 44.47, I 92
- 2θ 44.57, I 34
- 2θ 48.06, I 54
- 2θ 59.53, I 40
- 2θ 77.09, I 21

Atomic structure:
a = 4.9678 Å, b = 4.9678 Å, c = 8.9436 Å
α = 111.92°, β = 111.92°, γ = 52.64°
Fractional coordinates of all 12 atoms:
Ni (0.0000, 0.0000, 0.0000)
Ni (0.1555, 0.1555, 0.6185)
Ni (0.2126, 0.2126, 0.9146)
Ni (0.3749, 0.3749, 0.5254)
Ni (0.6251, 0.6251, 0.4746)
Ni (0.7874, 0.7874, 0.0854)
Ni (0.8445, 0.8445, 0.3815)
Ru (0.5000, 0.5000, 0.0000)
Rh (0.0918, 0.0918, 0.3024)
Rh (0.3620, 0.3620, 0.2302)
Rh (0.6380, 0.6380, 0.7698)
Rh (0.9082, 0.9082, 0.6976)


# 8
The following is a computed powder XRD pattern of Ni6RuRh3. It was derived from DFT lattice parameters and positions (GGA-PBE), using Cu Ka.
Kinematic intensities with the Lorentz-polarization factor, no thermal factor.

Largest 12 diffraction maxima, by angle, 10 to 80 degrees two-theta:
- 2θ 11.54, I 1
- 2θ 21.29, I 10
- 2θ 39.46, I 27
- 2θ 39.82, I 14
- 2θ 43.37, I 37
- 2θ 45.26, I 100
- 2θ 45.59, I 47
- 2θ 60.06, I 15
- 2θ 60.33, I 8
- 2θ 71.32, I 8
- 2θ 71.99, I 8
- 2θ 72.10, I 7

Atomic structure:
a = 5.2897 Å, b = 6.6988 Å, c = 8.0774 Å
α = 71.91°, β = 80.64°, γ = 66.82°
Fractional coordinates of all 20 atoms:
Ni (0.0000, 0.0000, 0.0000)
Ni (0.0006, 0.1680, 0.6697)
Ni (0.1038, 0.3616, 0.8663)
Ni (0.1996, 0.5668, 0.0689)
Ni (0.3017, 0.7655, 0.2631)
Ni (0.3976, 0.9675, 0.4673)
Ni (0.4978, 0.1685, 0.6684)
Ni (0.4998, 0.0008, 0.0009)
Ni (0.6012, 0.3627, 0.8659)
Ni (0.7001, 0.5687, 0.0663)
Ni (0.8034, 0.7667, 0.2603)
Ni (0.9031, 0.9654, 0.4662)
Ru (0.2014, 0.4009, 0.4001)
Ru (0.2982, 0.6003, 0.6013)
Rh (0.1046, 0.1950, 0.1949)
Rh (0.3952, 0.8054, 0.8070)
Rh (0.6031, 0.1953, 0.1962)
Rh (0.7009, 0.3999, 0.3993)
Rh (0.7984, 0.6025, 0.6012)
Rh (0.8971, 0.8052, 0.8056)


# 9
The following is a computed powder XRD pattern of Ni2Ru3Rh6. It was derived from DFT lattice parameters and positions (GGA-PBE), using Cu Ka.
Kinematic intensities with the Lorentz-polarization factor, no thermal factor.

Largest 10 diffraction maxima, by angle, 10 to 80 degrees two-theta:
- 2θ 16.33, I 2
- 2θ 21.70, I 1
- 2θ 22.89, I 1
- 2θ 28.78, I 1
- 2θ 41.21, I 100
- 2θ 41.32, I 33
- 2θ 47.98, I 64
- 2θ 70.12, I 20
- 2θ 70.19, I 7
- 2θ 70.33, I 13

Atomic structure:
a = 4.6429 Å, b = 5.9983 Å, c = 6.0007 Å
α = 107.47°, β = 105.19°, γ = 97.30°
Fractional coordinates of all 11 atoms:
Ni (0.1368, 0.2301, 0.0505)
Ni (0.8632, 0.7699, 0.9495)
Ru (0.0456, 0.4130, 0.6800)
Ru (0.5000, 0.5000, 0.5000)
Ru (0.9544, 0.5870, 0.3200)
Rh (0.2212, 0.0465, 0.4041)
Rh (0.3223, 0.8623, 0.7722)
Rh (0.4028, 0.6772, 0.1343)
Rh (0.5972, 0.3228, 0.8657)
Rh (0.6777, 0.1377, 0.2278)
Rh (0.7788, 0.9535, 0.5959)


# 10
The following is a computed powder XRD pattern of Ni3RuRh7. It was derived from DFT lattice parameters and positions (GGA-PBE), using Cu Ka.
Kinematic intensities with the Lorentz-polarization factor, no thermal factor.

Largest 12 diffraction maxima, by angle, 10 to 80 degrees two-theta:
- 2θ 30.47, I 26
- 2θ 32.70, I 18
- 2θ 36.09, I 36
- 2θ 39.15, I 95
- 2θ 40.33, I 99
- 2θ 43.73, I 20
- 2θ 43.89, I 100
- 2θ 46.04, I 79
- 2θ 49.07, I 22
- 2θ 57.47, I 56
- 2θ 73.03, I 17
- 2θ 77.37, I 24

Atomic structure:
a = 6.2691 Å, b = 6.2691 Å, c = 4.6125 Å
α = 109.06°, β = 109.06°, γ = 91.02°
Fractional coordinates of all 11 atoms:
Ni (0.0000, 0.0000, 0.0000)
Ni (0.2284, 0.7716, 0.5000)
Ni (0.7716, 0.2284, 0.5000)
Ru (0.5000, 0.5000, 0.0000)
Rh (0.0682, 0.5915, 0.8292)
Rh (0.1760, 0.1760, 0.5967)
Rh (0.4085, 0.9318, 0.1708)
Rh (0.5000, 0.5000, 0.5000)
Rh (0.5915, 0.0682, 0.8292)
Rh (0.8240, 0.8240, 0.4033)
Rh (0.9318, 0.4085, 0.1708)


# 11
The following is a computed powder XRD pattern of NiRu2Rh. It was derived from DFT lattice parameters and positions (GGA-PBE), using Cu Ka.
Kinematic intensities with the Lorentz-polarization factor, no thermal factor.

Largest 12 diffraction maxima, by angle, 10 to 80 degrees two-theta:
- 2θ 34.03, I 4
- 2θ 36.13, I 13
- 2θ 39.50, I 27
- 2θ 41.86, I 30
- 2θ 43.77, I 100
- 2θ 58.91, I 16
- 2θ 60.91, I 6
- 2θ 68.15, I 7
- 2θ 74.61, I 11
- 2θ 76.31, I 4
- 2θ 76.65, I 6
- 2θ 77.78, I 17

Atomic structure:
a = 5.2314 Å, b = 5.2314 Å, c = 5.2314 Å
α = 149.50°, β = 131.28°, γ = 58.58°
Fractional coordinates of all 4 atoms:
Ni (0.0000, 0.0000, 0.0000)
Ru (0.2221, 0.7221, 0.5000)
Ru (0.7779, 0.2779, 0.5000)
Rh (0.5000, 0.5000, 0.0000)


# 12
The following is a computed powder XRD pattern of Ni2RuRh. It was derived from DFT lattice parameters and positions (GGA-PBE), using Cu Ka.
Kinematic intensities with the Lorentz-polarization factor, no thermal factor.

Largest 6 diffraction maxima, by angle, 10 to 80 degrees two-theta:
- 2θ 26.11, I 7
- 2θ 43.30, I 100
- 2θ 51.26, I 3
- 2θ 62.90, I 16
- 2θ 69.30, I 1
- 2θ 79.43, I 31

Atomic structure:
a = 4.1794 Å, b = 4.1794 Å, c = 4.1794 Å
α = 60.00°, β = 60.00°, γ = 60.00°
Fractional coordinates of all 4 atoms:
Ni (0.0000, 0.0000, 0.0000)
Ni (0.2500, 0.2500, 0.2500)
Ru (0.7500, 0.7500, 0.7500)
Rh (0.5000, 0.5000, 0.5000)